# 1
For ErGa2Ni, a structure optimized by DFT (GGA-PBE) gives the computed X-ray powder pattern in this record (Cu Kα).

Most intense lines, 2θ from 15° to 90°, low angle first:
2theta  intensity  h k l
35.89  100  1 1 2
37.30  82  1 3 1
38.45  38  0 4 1
44.22  33  2 0 0
44.64  23  0 2 3
60.01  20  2 4 1

Structural model:
a = 4.096 Å, b = 10.003 Å, c = 6.663 Å
α = 90.00°, β = 90.00°, γ = 90.00°
Space group Cmcm (No. 63)
Asymmetric unit:
Er (0.000, 0.071, 0.250) (multiplicity 4)
Ga (0.000, 0.357, 0.054) (multiplicity 8)
Ni (0.000, 0.214, 0.750) (multiplicity 4)


# 2
For Ca2AlH10IO8, a structure optimized by DFT (GGA-PBE) gives the computed X-ray powder pattern in this record (Cu Kα).

Most intense lines, 2θ from 15° to 90°, low angle first:
2theta  intensity  h k l
17.82  58  1 -1 0
19.03  100  0 0 2
21.39  49  1 -1 1
21.70  47  0 1 1
22.02  44  1 0 -2
30.77  55  1 -2 0

Structural model:
a = 5.810 Å, b = 5.821 Å, c = 9.823 Å
α = 91.64°, β = 104.94°, γ = 119.37°
Space group P1 (No. 1)
Asymmetric unit:
Ca (0.000, 0.000, 0.000) (multiplicity 1)
Ca (0.266, 0.630, 0.882) (multiplicity 1)
Al (0.634, 0.314, 0.942) (multiplicity 1)
H (0.073, 0.499, 0.148) (multiplicity 1)
H (0.158, 0.973, 0.319) (multiplicity 1)
H (0.189, 0.127, 0.736) (multiplicity 1)
H (0.248, 0.647, 0.567) (multiplicity 1)
H (0.286, 0.280, 0.314) (multiplicity 1)
H (0.533, 0.045, 0.148) (multiplicity 1)
H (0.621, 0.026, 0.737) (multiplicity 1)
H (0.630, 0.592, 0.145) (multiplicity 1)
H (0.722, 0.582, 0.739) (multiplicity 1)
H (0.954, 0.411, 0.563) (multiplicity 1)
I (0.584, 0.841, 0.440) (multiplicity 1)
O (0.007, 0.408, 0.050) (multiplicity 1)
O (0.120, 0.570, 0.625) (multiplicity 1)
O (0.140, 0.099, 0.260) (multiplicity 1)
O (0.263, 0.223, 0.834) (multiplicity 1)
O (0.446, 0.044, 0.049) (multiplicity 1)
O (0.626, 0.026, 0.836) (multiplicity 1)
O (0.646, 0.603, 0.050) (multiplicity 1)
O (0.818, 0.584, 0.836) (multiplicity 1)


# 3
For Bi2BO5, a structure optimized by DFT (GGA-PBE) gives the computed X-ray powder pattern in this record (Cu Kα).

Most intense lines, 2θ from 15° to 90°, low angle first:
2theta  intensity  h k l
23.61  43  1 1 1
29.91  100  3 1 1
32.02  22  0 0 2
32.65  18  0 2 0
51.74  26  6 2 0
55.77  18  3 1 3

Structural model:
a = 13.861 Å, b = 5.486 Å, c = 5.590 Å
α = 90.00°, β = 90.00°, γ = 90.00°
Space group Cmc2_1 (No. 36)
Asymmetric unit:
Bi (0.158, 0.229, 0.000) (multiplicity 8)
B (0.000, 0.305, 0.425) (multiplicity 4)
O (0.000, 0.442, 0.944) (multiplicity 4)
O (0.087, 0.184, 0.409) (multiplicity 8)
O (0.241, 0.499, 0.230) (multiplicity 8)


# 4
For LiCd4Ge5HO15, a structure optimized by DFT (GGA-PBE) gives the computed X-ray powder pattern in this record (Cu Kα).

Most intense lines, 2θ from 15° to 90°, low angle first:
2theta  intensity  h k l
26.36  61  2 -1 0
27.36  48  1 2 -2
28.17  45  2 1 -1
28.82  94  0 1 -4
30.81  100  0 2 2
37.59  42  2 0 -4

Structural model:
a = 7.200 Å, b = 8.074 Å, c = 12.491 Å
α = 105.74°, β = 93.08°, γ = 94.85°
Space group P-1 (No. 2)
Asymmetric unit:
Li (0.177, 0.365, 0.405) (multiplicity 2)
Cd (0.228, 0.754, 0.981) (multiplicity 2)
Cd (0.315, 0.965, 0.264) (multiplicity 2)
Cd (0.368, 0.183, 0.557) (multiplicity 2)
Cd (0.443, 0.404, 0.849) (multiplicity 2)
Ge (0.073, 0.525, 0.175) (multiplicity 2)
Ge (0.142, 0.724, 0.443) (multiplicity 2)
Ge (0.206, 0.990, 0.773) (multiplicity 2)
Ge (0.277, 0.181, 0.040) (multiplicity 2)
Ge (0.394, 0.646, 0.647) (multiplicity 2)
H (0.021, 0.090, 0.390) (multiplicity 2)
O (0.010, 0.016, 0.305) (multiplicity 2)
O (0.063, 0.209, 0.497) (multiplicity 2)
O (0.085, 0.543, 0.322) (multiplicity 2)
O (0.103, 0.297, 0.117) (multiplicity 2)
O (0.144, 0.068, 0.911) (multiplicity 2)
O (0.150, 0.474, 0.887) (multiplicity 2)
O (0.234, 0.591, 0.525) (multiplicity 2)
O (0.247, 0.675, 0.152) (multiplicity 2)
O (0.277, 0.779, 0.761) (multiplicity 2)
O (0.316, 0.886, 0.435) (multiplicity 2)
O (0.334, 0.011, 0.094) (multiplicity 2)
O (0.380, 0.120, 0.731) (multiplicity 2)
O (0.402, 0.239, 0.379) (multiplicity 2)
O (0.437, 0.454, 0.678) (multiplicity 2)
O (0.464, 0.324, 0.024) (multiplicity 2)


# 5
For YI3O9, a structure optimized by DFT (GGA-PBE) gives the computed X-ray powder pattern in this record (Cu Kα).

Most intense lines, 2θ from 15° to 90°, low angle first:
2theta  intensity  h k l
25.07  43  2 0 0
26.25  39  2 0 -2
26.51  94  1 2 -2
26.70  70  0 0 4
28.70  100  1 2 2
43.60  35  3 2 0

Structural model:
a = 7.217 Å, b = 8.631 Å, c = 13.568 Å
α = 90.00°, β = 100.19°, γ = 90.00°
Space group P2_1/c (No. 14)
Asymmetric unit:
Y (0.171, 0.245, 0.146) (multiplicity 4)
I (0.164, 0.705, 0.109) (multiplicity 4)
I (0.267, 0.021, 0.890) (multiplicity 4)
I (0.333, 0.544, 0.856) (multiplicity 4)
O (0.020, 0.530, 0.388) (multiplicity 4)
O (0.035, 0.168, 0.491) (multiplicity 4)
O (0.149, 0.692, 0.822) (multiplicity 4)
O (0.156, 0.526, 0.181) (multiplicity 4)
O (0.225, 0.209, 0.824) (multiplicity 4)
O (0.322, 0.080, 0.020) (multiplicity 4)
O (0.338, 0.033, 0.230) (multiplicity 4)
O (0.362, 0.665, 0.045) (multiplicity 4)
O (0.468, 0.174, 0.639) (multiplicity 4)